[1]
The following is a simulated X-ray diffraction stick pattern of Ce3Ga. It was derived from DFT lattice parameters and positions (PBE), using Cu Kα.
Peak positions follow from Bragg's law for the DFT cell and can differ from measured ones.

Cell and atoms:
```
data_Ce3Ga
_space_group_name_H-M_alt 'P m -3 m'
_space_group_IT_number 221
_space_group_name_Hall '-P 4 2 3'
_cell_length_a 4.653
_cell_length_b 4.653
_cell_length_c 4.653
_cell_angle_alpha 90.00
_cell_angle_beta 90.00
_cell_angle_gamma 90.00
loop_
_atom_site_label
_atom_site_fract_x
_atom_site_fract_y
_atom_site_fract_z
_atom_site_occupancy
Ce1 0.000 0.000 0.500 1
Ga1 0.500 0.500 0.500 1
```

The 10 most intense peaks (2θ = 10–90°), in order of rising 2θ:
two_theta, I (rel.), (hkl)
19.1, 5, 1 0 0
27.1, 5, 1 1 0
33.4, 100, 1 1 1
38.7, 50, 2 0 0
43.5, 3, 2 1 0
47.9, 2, 2 1 1
55.9, 34, 2 2 0
66.7, 40, 3 1 1
70.1, 11, 2 2 2
83.0, 5, 4 0 0

[2]
The following is a simulated X-ray diffraction stick pattern of NaSmC2O6. It was derived from DFT lattice parameters and positions (PBE), using Cu Kα.
Peak positions follow from Bragg's law for the DFT cell and can differ from measured ones.

Cell and atoms:
```
data_NaSmC2O6
_space_group_name_H-M_alt 'P m c 21'
_space_group_IT_number 26
_cell_length_a 5.145
_cell_length_b 6.369
_cell_length_c 7.082
_cell_angle_alpha 90.00
_cell_angle_beta 90.00
_cell_angle_gamma 90.00
loop_
_space_group_symop_operation_xyz
'x,y,z'
'-x,-y,z+1/2'
'-x,y,z'
'x,-y,z+1/2'
loop_
_atom_site_label
_atom_site_fract_x
_atom_site_fract_y
_atom_site_fract_z
_atom_site_occupancy
Na1 0.000 0.018 0.000 1
Sm1 0.500 0.369 0.301 1
C1 0.000 0.464 0.971 1
C2 0.500 0.080 0.715 1
O1 0.000 0.357 0.385 1
O2 0.222 0.375 0.007 1
O3 0.287 0.018 0.252 1
O4 0.500 0.267 0.636 1
```

The 10 most intense peaks (2θ = 10–90°), in order of rising 2θ:
two_theta, I (rel.), (hkl)
13.9, 59, 0 1 0
17.2, 90, 1 0 0
18.7, 96, 0 1 1
22.2, 41, 1 1 0
25.6, 71, 1 1 1
30.7, 100, 1 0 2
30.8, 65, 0 2 1
35.5, 75, 1 2 1
45.9, 45, 2 1 2
47.2, 56, 2 2 1

[3]
The following is a simulated X-ray diffraction stick pattern of RbSrCl3. It was derived from DFT lattice parameters and positions (PBE), using Cu Kα.
Peak positions follow from Bragg's law for the DFT cell and can differ from measured ones.

Cell and atoms:
```
data_RbSrCl3
_space_group_name_H-M_alt 'P m -3 m'
_space_group_IT_number 221
_space_group_name_Hall '-P 4 2 3'
_cell_length_a 5.696
_cell_length_b 5.696
_cell_length_c 5.696
_cell_angle_alpha 90.00
_cell_angle_beta 90.00
_cell_angle_gamma 90.00
loop_
_atom_site_label
_atom_site_fract_x
_atom_site_fract_y
_atom_site_fract_z
_atom_site_occupancy
Rb1 0.000 0.000 0.000 1
Sr1 0.500 0.500 0.500 1
Cl1 0.000 0.500 0.500 1
```

The 10 most intense peaks (2θ = 10–90°), in order of rising 2θ:
two_theta, I (rel.), (hkl)
22.1, 100, 1 1 0
27.1, 26, 1 1 1
31.4, 88, 2 0 0
38.7, 48, 2 1 1
45.0, 61, 2 2 0
50.7, 22, 3 1 0
55.9, 20, 2 2 2
60.8, 26, 3 2 1
74.5, 26, 4 2 0
83.1, 20, 4 2 2

Copy entry 2 word for word.
The following is a simulated X-ray diffraction stick pattern of NaSmC2O6. It was derived from DFT lattice parameters and positions (PBE), using Cu Kα.
Peak positions follow from Bragg's law for the DFT cell and can differ from measured ones.

Cell and atoms:
```
data_NaSmC2O6
_space_group_name_H-M_alt 'P m c 21'
_space_group_IT_number 26
_cell_length_a 5.145
_cell_length_b 6.369
_cell_length_c 7.082
_cell_angle_alpha 90.00
_cell_angle_beta 90.00
_cell_angle_gamma 90.00
loop_
_space_group_symop_operation_xyz
'x,y,z'
'-x,-y,z+1/2'
'-x,y,z'
'x,-y,z+1/2'
loop_
_atom_site_label
_atom_site_fract_x
_atom_site_fract_y
_atom_site_fract_z
_atom_site_occupancy
Na1 0.000 0.018 0.000 1
Sm1 0.500 0.369 0.301 1
C1 0.000 0.464 0.971 1
C2 0.500 0.080 0.715 1
O1 0.000 0.357 0.385 1
O2 0.222 0.375 0.007 1
O3 0.287 0.018 0.252 1
O4 0.500 0.267 0.636 1
```

The 10 most intense peaks (2θ = 10–90°), in order of rising 2θ:
two_theta, I (rel.), (hkl)
13.9, 59, 0 1 0
17.2, 90, 1 0 0
18.7, 96, 0 1 1
22.2, 41, 1 1 0
25.6, 71, 1 1 1
30.7, 100, 1 0 2
30.8, 65, 0 2 1
35.5, 75, 1 2 1
45.9, 45, 2 1 2
47.2, 56, 2 2 1

Number 1 is which compound?
Ce3Ga

What is the formula in the first record?
Ce3Ga